Diffraction record for Tb3NbN3. The powder X-ray diffraction pattern is computed, not measured: it uses the PBE geometry in Alexandria and copper Kα.

```
data_Tb3NbN3
_cell_length_a 8.9663
_cell_length_b 9.9892
_cell_length_c 5.0408
_cell_angle_alpha 90.00
_cell_angle_beta 90.00
_cell_angle_gamma 90.00
_space_group_name_H-M_alt 'C m c m'
_space_group_IT_number 63
_space_group_name_Hall '-C 2c 2'
loop_
_atom_site_label
_atom_site_type_symbol
_atom_site_fract_x
_atom_site_fract_y
_atom_site_fract_z
Tb1 Tb 0.0000 0.1107 0.2500
Tb2 Tb 0.2269 0.3801 0.2500
Nb1 Nb 0.0000 0.3326 0.7500
N1 N 0.0000 0.1263 0.7500
N2 N 0.2283 0.3723 0.7500
```

Top 6 peaks for 10° ≤ 2θ ≤ 90°, sorted by position:
d = 2.782 Å, I = 100, hkl 2 2 1
d = 2.520 Å, I = 28, hkl 0 0 2
d = 2.497 Å, I = 22, hkl 0 4 0
d = 2.241 Å, I = 17, hkl 4 0 0
d = 1.774 Å, I = 16, hkl 0 4 2
d = 1.501 Å, I = 16, hkl 2 2 3